Bi2IBr3: simulated X-ray diffraction stick pattern (CuKα), based on a crystal structure in Alexandria, relaxed with PBE.

The 12 most intense peaks (5° ≤ 2θ ≤ 70°), by intensity:
| 2θ (°) | d [Å] | I/Imax |
| --- | --- | --- |
| 10.0 | 8.836 | 100 |
| 29.2 | 3.053 | 32 |
| 26.6 | 3.345 | 27 |
| 16.7 | 5.316 | 25 |
| 40.0 | 2.255 | 19 |
| 26.1 | 3.412 | 18 |
| 34.2 | 2.622 | 18 |
| 38.0 | 2.366 | 18 |
| 31.0 | 2.886 | 15 |
| 15.2 | 5.822 | 13 |
| 23.1 | 3.846 | 12 |
| 20.3 | 4.384 | 12 |

Structure:
```
data_Bi2IBr3
_cell_length_a 20.5601
_cell_length_b 6.1069
_cell_length_c 10.9232
_cell_angle_alpha 90.00
_cell_angle_beta 113.26
_cell_angle_gamma 90.00
_space_group_name_H-M_alt 'C 1 2/m 1'
_space_group_IT_number 12
loop_
_space_group_symop_operation_xyz
'x,y,z'
'-x,-y,-z'
'-x,y,-z'
'x,-y,z'
'x+1/2,y+1/2,z'
'-x+1/2,-y+1/2,-z'
'-x+1/2,y+1/2,-z'
'x+1/2,-y+1/2,z'
loop_
_atom_site_label
_atom_site_type_symbol
_atom_site_fract_x
_atom_site_fract_y
_atom_site_fract_z
Bi1 Bi 0.0261 0.0000 0.1566
Bi2 Bi 0.2157 0.5000 0.4999
I1 I 0.0751 0.5000 0.1880
Br1 Br 0.1048 0.0000 0.8552
Br2 Br 0.1071 0.5000 0.5696
Br3 Br 0.1987 0.0000 0.2349
```

=====

SrBi2IBr: simulated X-ray diffraction stick pattern (CuKα), based on a crystal structure in Alexandria, relaxed with PBE.

The 12 most intense peaks (5° ≤ 2θ ≤ 70°), by intensity:
| 2θ (°) | d [Å] | I/Imax |
| --- | --- | --- |
| 24.4 | 3.649 | 100 |
| 27.7 | 3.222 | 65 |
| 40.8 | 2.213 | 47 |
| 47.0 | 1.933 | 35 |
| 29.3 | 3.045 | 28 |
| 50.0 | 1.824 | 26 |
| 39.6 | 2.279 | 25 |
| 14.5 | 6.089 | 24 |
| 31.4 | 2.848 | 16 |
| 49.1 | 1.854 | 16 |
| 64.8 | 1.438 | 14 |
| 64.7 | 1.441 | 12 |

Structure:
```
data_SrBi2IBr
_cell_length_a 6.4448
_cell_length_b 6.4448
_cell_length_c 6.0893
_cell_angle_alpha 90.00
_cell_angle_beta 90.00
_cell_angle_gamma 90.00
_space_group_name_H-M_alt 'P 4/m m m'
_space_group_IT_number 123
_space_group_name_Hall '-P 4 2'
loop_
_atom_site_label
_atom_site_type_symbol
_atom_site_fract_x
_atom_site_fract_y
_atom_site_fract_z
Sr1 Sr 0.0000 0.0000 0.0000
Bi1 Bi 0.0000 0.5000 0.0000
I1 I 0.0000 0.0000 0.5000
Br1 Br 0.5000 0.5000 0.5000
```

=====

In2BiBr5: simulated X-ray diffraction stick pattern (CuKα), based on a crystal structure in Alexandria, relaxed with PBE.

The 12 most intense peaks (5° ≤ 2θ ≤ 70°), by intensity:
| 2θ (°) | d [Å] | I/Imax |
| --- | --- | --- |
| 15.7 | 5.655 | 100 |
| 13.3 | 6.646 | 93 |
| 31.0 | 2.889 | 71 |
| 13.5 | 6.574 | 70 |
| 31.2 | 2.871 | 61 |
| 25.6 | 3.474 | 48 |
| 21.9 | 4.065 | 46 |
| 44.5 | 2.036 | 43 |
| 22.0 | 4.042 | 41 |
| 34.8 | 2.576 | 41 |
| 35.3 | 2.541 | 32 |
| 26.2 | 3.407 | 31 |

Structure:
```
data_In2BiBr5
_cell_length_a 7.9943
_cell_length_b 8.0770
_cell_length_c 8.0941
_cell_angle_alpha 91.23
_cell_angle_beta 119.16
_cell_angle_gamma 119.10
_space_group_name_H-M_alt 'P 1'
_space_group_IT_number 1
loop_
_space_group_symop_operation_xyz
'x,y,z'
loop_
_atom_site_label
_atom_site_type_symbol
_atom_site_fract_x
_atom_site_fract_y
_atom_site_fract_z
In1 In 0.0000 0.0000 0.0000
In2 In 0.0008 0.4599 0.5376
Bi1 Bi 0.5511 0.3388 0.8791
Br1 Br 0.0225 0.6505 0.1899
Br2 Br 0.0463 0.0889 0.6298
Br3 Br 0.5351 0.6070 0.6523
Br4 Br 0.5367 0.1106 0.1458
Br5 Br 0.6279 0.1448 0.6831
```

=====

BiIrBr2: simulated X-ray diffraction stick pattern (CuKα), based on a crystal structure in Alexandria, relaxed with PBE.

The 12 most intense peaks (5° ≤ 2θ ≤ 70°), by intensity:
| 2θ (°) | d [Å] | I/Imax |
| --- | --- | --- |
| 16.9 | 5.237 | 100 |
| 34.2 | 2.618 | 37 |
| 44.4 | 2.039 | 36 |
| 36.8 | 2.443 | 30 |
| 38.4 | 2.342 | 27 |
| 57.3 | 1.609 | 17 |
| 24.0 | 3.703 | 15 |
| 49.2 | 1.852 | 13 |
| 63.0 | 1.476 | 13 |
| 51.1 | 1.786 | 12 |
| 25.7 | 3.473 | 9 |
| 64.1 | 1.452 | 6 |

Structure:
```
data_BiIrBr2
_cell_length_a 10.4740
_cell_length_b 10.4740
_cell_length_c 5.1747
_cell_angle_alpha 90.00
_cell_angle_beta 90.00
_cell_angle_gamma 90.00
_space_group_name_H-M_alt 'I -4 2 d'
_space_group_IT_number 122
_space_group_name_Hall 'I -4 2bw'
loop_
_atom_site_label
_atom_site_type_symbol
_atom_site_fract_x
_atom_site_fract_y
_atom_site_fract_z
Bi1 Bi 0.0000 0.0000 0.0000
Ir1 Ir 0.0000 0.0000 0.5000
Br1 Br 0.0023 0.7500 0.6250
```

=====

KBiBr5: simulated X-ray diffraction stick pattern (CuKα), based on a crystal structure in Alexandria, relaxed with PBE.

The 12 most intense peaks (5° ≤ 2θ ≤ 70°), by intensity:
| 2θ (°) | d [Å] | I/Imax |
| --- | --- | --- |
| 12.1 | 7.318 | 100 |
| 16.4 | 5.395 | 74 |
| 15.1 | 5.854 | 70 |
| 18.7 | 4.745 | 61 |
| 30.5 | 2.927 | 46 |
| 32.5 | 2.754 | 41 |
| 33.0 | 2.717 | 34 |
| 33.2 | 2.698 | 32 |
| 18.9 | 4.688 | 30 |
| 29.6 | 3.019 | 28 |
| 38.7 | 2.324 | 28 |
| 33.4 | 2.684 | 28 |

Structure:
```
data_KBiBr5
_cell_length_a 14.1245
_cell_length_b 9.3755
_cell_length_c 11.2133
_cell_angle_alpha 90.00
_cell_angle_beta 124.01
_cell_angle_gamma 90.00
_space_group_name_H-M_alt 'C 1 2/c 1'
_space_group_IT_number 15
loop_
_space_group_symop_operation_xyz
'x,y,z'
'-x,-y,-z'
'-x,y,-z+1/2'
'x,-y,z+1/2'
'x+1/2,y+1/2,z'
'-x+1/2,-y+1/2,-z'
'-x+1/2,y+1/2,-z+1/2'
'x+1/2,-y+1/2,z+1/2'
loop_
_atom_site_label
_atom_site_type_symbol
_atom_site_fract_x
_atom_site_fract_y
_atom_site_fract_z
K1 K 0.0000 0.0528 0.2500
Bi1 Bi 0.0000 0.5000 0.0000
Br1 Br 0.0000 0.4164 0.2500
Br2 Br 0.0436 0.2050 0.5680
Br3 Br 0.2329 0.4405 0.1662
```

=====

K3BiBr8: simulated X-ray diffraction stick pattern (CuKα), based on a crystal structure in Alexandria, relaxed with PBE.

The 12 most intense peaks (5° ≤ 2θ ≤ 70°), by intensity:
| 2θ (°) | d [Å] | I/Imax |
| --- | --- | --- |
| 32.8 | 2.729 | 100 |
| 13.1 | 6.739 | 46 |
| 34.2 | 2.623 | 45 |
| 20.2 | 4.397 | 42 |
| 60.3 | 1.534 | 31 |
| 11.0 | 8.060 | 23 |
| 57.7 | 1.598 | 16 |
| 49.1 | 1.855 | 15 |
| 40.0 | 2.252 | 14 |
| 24.0 | 3.709 | 13 |
| 41.5 | 2.176 | 11 |
| 44.4 | 2.041 | 10 |

Structure:
```
data_K3BiBr8
_cell_length_a 7.4185
_cell_length_b 7.4185
_cell_length_c 16.1208
_cell_angle_alpha 90.00
_cell_angle_beta 90.00
_cell_angle_gamma 90.00
_space_group_name_H-M_alt 'I 4/m m m'
_space_group_IT_number 139
_space_group_name_Hall '-I 4 2'
loop_
_atom_site_label
_atom_site_type_symbol
_atom_site_fract_x
_atom_site_fract_y
_atom_site_fract_z
K1 K 0.0000 0.0000 0.0000
K2 K 0.0000 0.5000 0.2500
Bi1 Bi 0.0000 0.0000 0.5000
Br1 Br 0.2322 0.2322 0.3860
```

=====

KBiPb2Br8: simulated X-ray diffraction stick pattern (CuKα), based on a crystal structure in Alexandria, relaxed with PBE.

The 12 most intense peaks (5° ≤ 2θ ≤ 70°), by intensity:
| 2θ (°) | d [Å] | I/Imax |
| --- | --- | --- |
| 17.5 | 5.057 | 100 |
| 17.8 | 4.986 | 95 |
| 23.1 | 3.848 | 91 |
| 34.7 | 2.584 | 86 |
| 34.4 | 2.604 | 85 |
| 26.1 | 3.411 | 82 |
| 42.1 | 2.145 | 77 |
| 39.0 | 2.311 | 47 |
| 27.9 | 3.200 | 44 |
| 33.8 | 2.652 | 40 |
| 34.1 | 2.631 | 37 |
| 9.6 | 9.243 | 36 |

Structure:
```
data_KBiPb2Br8
_cell_length_a 6.9497
_cell_length_b 9.2426
_cell_length_c 7.2645
_cell_angle_alpha 90.00
_cell_angle_beta 90.81
_cell_angle_gamma 90.00
_space_group_name_H-M_alt 'P 1 2/m 1'
_space_group_IT_number 10
loop_
_space_group_symop_operation_xyz
'x,y,z'
'-x,-y,-z'
'-x,y,-z'
'x,-y,z'
loop_
_atom_site_label
_atom_site_type_symbol
_atom_site_fract_x
_atom_site_fract_y
_atom_site_fract_z
K1 K 0.0000 0.0000 0.0000
Bi1 Bi 0.0000 0.5000 0.0000
Pb1 Pb 0.5000 0.2485 0.5000
Br1 Br 0.2398 0.5000 0.6727
Br2 Br 0.2429 0.2763 0.1552
Br3 Br 0.2715 0.0000 0.6373
```

=====

K2RbBiBr6: simulated X-ray diffraction stick pattern (CuKα), based on a crystal structure in Alexandria, relaxed with PBE.

The 12 most intense peaks (5° ≤ 2θ ≤ 70°), by intensity:
| 2θ (°) | d [Å] | I/Imax |
| --- | --- | --- |
| 29.3 | 3.049 | 100 |
| 14.5 | 6.098 | 100 |
| 41.9 | 2.156 | 72 |
| 32.8 | 2.727 | 54 |
| 12.6 | 7.041 | 35 |
| 20.6 | 4.312 | 30 |
| 68.9 | 1.364 | 30 |
| 44.6 | 2.033 | 29 |
| 51.9 | 1.760 | 25 |
| 25.3 | 3.521 | 21 |
| 62.8 | 1.479 | 17 |
| 54.2 | 1.691 | 15 |

Structure:
```
data_K2RbBiBr6
_cell_length_a 12.1955
_cell_length_b 12.1955
_cell_length_c 12.1955
_cell_angle_alpha 90.00
_cell_angle_beta 90.00
_cell_angle_gamma 90.00
_space_group_name_H-M_alt 'F m -3 m'
_space_group_IT_number 225
_space_group_name_Hall '-F 4 2 3'
loop_
_atom_site_label
_atom_site_type_symbol
_atom_site_fract_x
_atom_site_fract_y
_atom_site_fract_z
K1 K 0.2500 0.2500 0.2500
Rb1 Rb 0.0000 0.0000 0.0000
Bi1 Bi 0.0000 0.0000 0.5000
Br1 Br 0.0000 0.0000 0.2655
```

=====

KBiTeBr2: simulated X-ray diffraction stick pattern (CuKα), based on a crystal structure in Alexandria, relaxed with PBE.

The 12 most intense peaks (5° ≤ 2θ ≤ 70°), by intensity:
| 2θ (°) | d [Å] | I/Imax |
| --- | --- | --- |
| 26.5 | 3.367 | 100 |
| 31.9 | 2.808 | 43 |
| 43.0 | 2.103 | 38 |
| 28.1 | 3.174 | 30 |
| 53.6 | 1.711 | 29 |
| 48.8 | 1.868 | 19 |
| 54.5 | 1.684 | 19 |
| 45.7 | 1.986 | 16 |
| 22.4 | 3.972 | 15 |
| 69.0 | 1.361 | 14 |
| 21.1 | 4.207 | 12 |
| 67.8 | 1.382 | 10 |

Structure:
```
data_KBiTeBr2
_cell_length_a 5.6168
_cell_length_b 5.6168
_cell_length_c 6.3489
_cell_angle_alpha 90.00
_cell_angle_beta 90.00
_cell_angle_gamma 90.00
_space_group_name_H-M_alt 'P 4/m m m'
_space_group_IT_number 123
_space_group_name_Hall '-P 4 2'
loop_
_atom_site_label
_atom_site_type_symbol
_atom_site_fract_x
_atom_site_fract_y
_atom_site_fract_z
K1 K 0.0000 0.0000 0.0000
Bi1 Bi 0.5000 0.5000 0.5000
Te1 Te 0.0000 0.0000 0.5000
Br1 Br 0.0000 0.5000 0.0000
```

=====

KZnBiBr6: simulated X-ray diffraction stick pattern (CuKα), based on a crystal structure in Alexandria, relaxed with PBE.

The 12 most intense peaks (5° ≤ 2θ ≤ 70°), by intensity:
| 2θ (°) | d [Å] | I/Imax |
| --- | --- | --- |
| 27.6 | 3.230 | 100 |
| 35.0 | 2.563 | 87 |
| 12.1 | 7.294 | 66 |
| 18.7 | 4.742 | 65 |
| 43.5 | 2.080 | 39 |
| 14.2 | 6.240 | 37 |
| 45.0 | 2.015 | 34 |
| 40.2 | 2.244 | 30 |
| 57.0 | 1.615 | 17 |
| 31.2 | 2.869 | 15 |
| 52.3 | 1.749 | 15 |
| 45.3 | 2.000 | 14 |

Structure:
```
data_KZnBiBr6
_cell_length_a 7.2056
_cell_length_b 7.2056
_cell_length_c 7.2942
_cell_angle_alpha 90.00
_cell_angle_beta 90.00
_cell_angle_gamma 120.00
_space_group_name_H-M_alt 'P 3 1 2'
_space_group_IT_number 149
loop_
_space_group_symop_operation_xyz
'x,y,z'
'-y,x-y,z'
'-x+y,-x,z'
'-y,-x,-z'
'-x+y,y,-z'
'x,x-y,-z'
loop_
_atom_site_label
_atom_site_type_symbol
_atom_site_fract_x
_atom_site_fract_y
_atom_site_fract_z
K1 K 0.0000 0.0000 0.0000
Zn1 Zn 0.6667 0.3333 0.5000
Bi1 Bi 0.3333 0.6667 0.5000
Br1 Br 0.3816 0.0243 0.7168
```

=====

La3BiBr3: simulated X-ray diffraction stick pattern (CuKα), based on a crystal structure in Alexandria, relaxed with PBE.

The 12 most intense peaks (5° ≤ 2θ ≤ 70°), by intensity:
| 2θ (°) | d [Å] | I/Imax |
| --- | --- | --- |
| 28.7 | 3.112 | 100 |
| 41.0 | 2.200 | 74 |
| 8.2 | 10.801 | 51 |
| 50.9 | 1.795 | 19 |
| 24.8 | 3.591 | 19 |
| 67.2 | 1.393 | 16 |
| 67.3 | 1.390 | 15 |
| 34.3 | 2.616 | 15 |
| 59.4 | 1.556 | 13 |
| 41.9 | 2.154 | 7 |
| 50.7 | 1.800 | 7 |
| 13.7 | 6.462 | 5 |

Structure:
```
data_La3BiBr3
_cell_length_a 7.6144
_cell_length_b 7.6144
_cell_length_c 32.4030
_cell_angle_alpha 90.00
_cell_angle_beta 90.00
_cell_angle_gamma 120.00
_space_group_name_H-M_alt 'R -3'
_space_group_IT_number 148
_space_group_name_Hall '-R 3'
loop_
_atom_site_label
_atom_site_type_symbol
_atom_site_fract_x
_atom_site_fract_y
_atom_site_fract_z
La1 La 0.0001 0.3127 0.0580
Bi1 Bi 0.0000 0.0000 0.3333
Br1 Br 0.0004 0.3512 0.8874
```

=====

La3BiBr3: simulated X-ray diffraction stick pattern (CuKα), based on a crystal structure in Alexandria, relaxed with PBE.

The 12 most intense peaks (5° ≤ 2θ ≤ 70°), by intensity:
| 2θ (°) | d [Å] | I/Imax |
| --- | --- | --- |
| 28.3 | 3.149 | 100 |
| 40.5 | 2.227 | 76 |
| 9.9 | 8.908 | 45 |
| 66.4 | 1.408 | 35 |
| 50.2 | 1.818 | 27 |
| 22.3 | 3.984 | 17 |
| 36.4 | 2.471 | 14 |
| 58.6 | 1.575 | 13 |
| 30.1 | 2.969 | 12 |
| 41.8 | 2.160 | 7 |
| 51.3 | 1.782 | 6 |
| 63.5 | 1.464 | 6 |

Structure:
```
data_La3BiBr3
_cell_length_a 12.5974
_cell_length_b 12.5974
_cell_length_c 12.5974
_cell_angle_alpha 90.00
_cell_angle_beta 90.00
_cell_angle_gamma 90.00
_space_group_name_H-M_alt 'I 41 3 2'
_space_group_IT_number 214
_space_group_name_Hall 'I 4bd 2c 3'
loop_
_atom_site_label
_atom_site_type_symbol
_atom_site_fract_x
_atom_site_fract_y
_atom_site_fract_z
La1 La 0.1250 0.1252 0.3752
Bi1 Bi 0.1250 0.1250 0.1250
Br1 Br 0.1216 0.1284 0.6250
```